Simulated powder X-ray diffraction pattern of Ac3Pt3Pb for Cu Kα (weighted mean of Kα1 and Kα2), from a structure optimized by DFT (PBE).
Neutral-atom scattering factors, no anomalous dispersion.

Structural model:
```
data_Ac3Pt3Pb
_cell_length_a 9.3605
_cell_length_b 9.3605
_cell_length_c 6.0735
_cell_angle_alpha 90.00
_cell_angle_beta 90.00
_cell_angle_gamma 120.00
_symmetry_space_group_name_H-M 'P 63/m'
_symmetry_Int_Tables_number 176
_symmetry_space_group_name_Hall '-P 6c'
loop_
_atom_site_label
_atom_site_type_symbol
_atom_site_fract_x
_atom_site_fract_y
_atom_site_fract_z
Ac1 Ac 0.0453 0.3496 0.2500
Pt1 Pt 0.0404 0.3579 0.7500
Pb1 Pb 0.3333 0.6667 0.7500
```

Main lines, in order of falling intensity (10° ≤ 2θ ≤ 90°):
two_theta, I_rel
33.2, 100
44.9, 88
29.4, 61
19.0, 37
29.1, 30
71.2, 23
41.9, 23
35.2, 16
68.6, 15
18.3, 14